This entry pairs a crystal structure of LiAc2Zn6Co with its computed X-ray powder pattern. Radiation: Cu Kα (λ = 1.5418 Å). Structure: DFT lattice parameters and positions (GGA-PBE).
Kinematic intensities with the Lorentz-polarization factor, no thermal factor.

Crystal structure
```
data_LiAc2Zn6Co
_space_group_name_H-M_alt 'C 1 2/m 1'
_space_group_IT_number 12
_space_group_name_Hall '-C 2y'
_cell_length_a 11.2473
_cell_length_b 6.5041
_cell_length_c 6.7503
_cell_angle_alpha 90.00
_cell_angle_beta 123.60
_cell_angle_gamma 90.00
loop_
_atom_site_label
_atom_site_fract_x
_atom_site_fract_y
_atom_site_fract_z
_atom_site_occupancy
Li1 0.0000 0.0000 0.0000 1
Ac1 0.2192 0.0000 0.6585 1
Zn1 0.0362 0.2894 0.8215 1
Zn2 0.2478 0.5000 0.8211 1
Co1 0.0000 0.5000 0.5000 1
```

Principal peaks in the range 2θ from 10° to 90°, in order of rising 2θ:
| 2θ (°) | I (rel.) | h k l |
| --- | --- | --- |
| 18.96 | 39 | 1 1 -1 |
| 26.41 | 16 | 2 0 -2 |
| 27.45 | 52 | 0 2 0 |
| 30.90 | 54 | 2 0 1 |
| 31.81 | 65 | 0 0 2 |
| 33.57 | 100 | 4 0 -2 |
| 38.46 | 67 | 4 0 0 |
| 40.73 | 38 | 2 0 -3 |
| 47.86 | 14 | 1 3 1 |
| 51.34 | 22 | 6 0 -1 |
| 56.66 | 43 | 6 2 -2 |
| 57.77 | 26 | 1 3 2 |

***

This entry pairs a crystal structure of Ac4MgCo2 with its computed X-ray powder pattern. Radiation: Cu Kα (λ = 1.5418 Å). Structure: DFT lattice parameters and positions (GGA-PBE).
Kinematic intensities with the Lorentz-polarization factor, no thermal factor.

Crystal structure
```
data_Ac4MgCo2
_space_group_name_H-M_alt 'C m c m'
_space_group_IT_number 63
_space_group_name_Hall '-C 2c 2'
_cell_length_a 4.2910
_cell_length_b 14.3971
_cell_length_c 14.7406
_cell_angle_alpha 90.00
_cell_angle_beta 90.00
_cell_angle_gamma 90.00
loop_
_atom_site_label
_atom_site_fract_x
_atom_site_fract_y
_atom_site_fract_z
_atom_site_occupancy
Ac1 0.0000 0.0000 0.0000 1
Ac2 0.0000 0.2633 0.1042 1
Ac3 0.0000 0.4162 0.7500 1
Mg1 0.0000 0.1100 0.7500 1
Co1 0.0000 0.3685 0.5631 1
```

Principal peaks in the range 2θ from 10° to 90°, in order of rising 2θ:
| 2θ (°) | I (rel.) | h k l |
| --- | --- | --- |
| 13.69 | 28 | 0 2 1 |
| 24.78 | 68 | 0 4 0 |
| 27.19 | 100 | 0 2 4 |
| 27.89 | 33 | 1 3 0 |
| 28.30 | 71 | 1 1 3 |
| 28.55 | 100 | 1 3 1 |
| 30.46 | 32 | 1 3 2 |
| 42.07 | 74 | 2 0 0 |
| 42.88 | 27 | 1 1 6 |
| 45.21 | 30 | 1 5 4 |
| 50.85 | 37 | 2 2 4 |
| 51.99 | 28 | 1 3 7 |

***

This entry pairs a crystal structure of Ac9MgCo3 with its computed X-ray powder pattern. Radiation: Cu Kα (λ = 1.5418 Å). Structure: DFT lattice parameters and positions (GGA-PBE).
Kinematic intensities with the Lorentz-polarization factor, no thermal factor.

Crystal structure
```
data_Ac9MgCo3
_space_group_name_H-M_alt 'P 1 21/m 1'
_space_group_IT_number 11
_space_group_name_Hall '-P 2yb'
_cell_length_a 7.1299
_cell_length_b 11.0694
_cell_length_c 12.4442
_cell_angle_alpha 90.00
_cell_angle_beta 97.46
_cell_angle_gamma 90.00
loop_
_atom_site_label
_atom_site_fract_x
_atom_site_fract_y
_atom_site_fract_z
_atom_site_occupancy
Ac1 0.0503 0.2500 0.1863 1
Ac2 0.1614 0.5693 0.3678 1
Ac3 0.2034 0.2500 0.8503 1
Ac4 0.2532 0.5475 0.0571 1
Ac5 0.3362 0.2500 0.5152 1
Ac6 0.3377 0.5628 0.6848 1
Mg1 0.4916 0.7500 0.8997 1
Co1 0.0742 0.0019 0.8337 1
Co2 0.5000 0.0000 0.5000 1
```

Principal peaks in the range 2θ from 10° to 90°, in order of rising 2θ:
| 2θ (°) | I (rel.) | h k l |
| --- | --- | --- |
| 24.92 | 23 | 1 1 -3 |
| 27.01 | 57 | 0 2 3 |
| 27.26 | 100 | 1 3 0 |
| 27.40 | 28 | 2 0 -2 |
| 27.67 | 33 | 1 1 3 |
| 28.32 | 22 | 2 1 1 |
| 28.61 | 51 | 2 1 -2 |
| 31.11 | 25 | 1 2 3 |
| 39.24 | 20 | 0 4 3 |
| 46.48 | 19 | 3 3 -2 |
| 47.62 | 21 | 1 0 6 |
| 49.25 | 16 | 1 5 3 |

***

This entry pairs a crystal structure of Ac12MgCo7 with its computed X-ray powder pattern. Radiation: Cu Kα (λ = 1.5418 Å). Structure: DFT lattice parameters and positions (GGA-PBE).
Kinematic intensities with the Lorentz-polarization factor, no thermal factor.

Crystal structure
```
data_Ac12MgCo7
_space_group_name_H-M_alt 'R -3'
_space_group_IT_number 148
_space_group_name_Hall '-R 3'
_cell_length_a 15.3545
_cell_length_b 15.3545
_cell_length_c 9.1110
_cell_angle_alpha 90.00
_cell_angle_beta 90.00
_cell_angle_gamma 120.00
loop_
_atom_site_label
_atom_site_fract_x
_atom_site_fract_y
_atom_site_fract_z
_atom_site_occupancy
Ac1 0.0036 0.4304 0.3307 1
Ac2 0.0426 0.1618 0.2864 1
Mg1 0.0000 0.0000 0.0000 1
Co1 0.0000 0.0000 0.5000 1
Co2 0.0464 0.1825 0.9147 1
```

Principal peaks in the range 2θ from 10° to 90°, in order of rising 2θ:
| 2θ (°) | I (rel.) | h k l |
| --- | --- | --- |
| 26.07 | 100 | 4 -3 1 |
| 28.58 | 12 | 4 0 1 |
| 29.41 | 25 | 0 0 3 |
| 30.86 | 24 | 3 2 1 |
| 31.20 | 90 | 3 1 2 |
| 37.77 | 12 | 2 2 3 |
| 42.45 | 42 | 2 5 0 |
| 43.12 | 17 | 5 -4 3 |
| 46.88 | 15 | 4 -3 4 |
| 50.51 | 14 | 6 2 1 |
| 52.49 | 23 | 2 5 3 |
| 53.62 | 19 | 8 -6 2 |